Computed powder X-ray diffraction pattern of MgMnB2O5 for copper Kα, from a cell relaxed with GGA+U.
Peak positions follow from Bragg's law for the DFT cell and can differ from measured ones.

Top 12 peaks for 2θ from 10° to 90°, low angle first:
| index | d [Å] | two_theta | intensity |
| --- | --- | --- | --- |
| 0 1 1 | 4.554 | 19.5 | 45 |
| 0 1 -2 | 4.205 | 21.1 | 38 |
| 0 1 -3 | 3.064 | 29.1 | 19 |
| 0 2 0 | 3.024 | 29.5 | 34 |
| 0 2 -2 | 2.881 | 31.0 | 30 |
| 1 0 -2 | 2.665 | 33.6 | 100 |
| 1 0 2 | 2.629 | 34.1 | 54 |
| 0 3 -2 | 2.045 | 44.3 | 41 |
| -1 1 3 | 2.000 | 45.3 | 28 |
| 1 1 3 | 1.951 | 46.6 | 25 |
| 1 -1 4 | 1.904 | 47.8 | 24 |
| 1 2 -5 | 1.557 | 59.4 | 20 |

Lattice parameters (Å, degrees): 3.239 6.252 9.500 104.55 90.37 91.78
Space group P-1 (No. 2)
One atom of each set of equivalent atoms:
Mg 0.233 0.369 0.099
Mn 0.253 0.783 0.638
B 0.314 0.320 0.654
B 0.329 0.879 0.166
O 0.220 0.091 0.176
O 0.245 0.282 0.509
O 0.263 0.521 0.752
O 0.263 0.696 0.052
O 0.460 0.141 0.705